# 1
Diffraction record for Nd6Dy12Mg. The X-ray powder pattern is simulated, not measured: it uses a PBE-relaxed structure and Cu Kα (weighted mean of Kα1 and Kα2).
Neutral-atom scattering factors, no anomalous dispersion.

Cell and atoms:
Cell lengths 8.698, 8.698, 8.698 Å; angles 97.41, 97.41, 97.41 degrees
Positions (direct):
1 Nd 0.092 0.365 0.365
2 Nd 0.365 0.092 0.365
3 Nd 0.365 0.365 0.092
4 Nd 0.635 0.635 0.908
5 Nd 0.635 0.908 0.635
6 Nd 0.908 0.635 0.635
7 Dy 0.091 0.091 0.666
8 Dy 0.091 0.666 0.091
9 Dy 0.238 0.500 0.762
10 Dy 0.238 0.762 0.500
11 Dy 0.334 0.909 0.909
12 Dy 0.500 0.238 0.762
13 Dy 0.500 0.762 0.238
14 Dy 0.666 0.091 0.091
15 Dy 0.762 0.238 0.500
16 Dy 0.762 0.500 0.238
17 Dy 0.909 0.334 0.909
18 Dy 0.909 0.909 0.334
19 Mg 0.500 0.500 0.500

Principal peaks in the range 2θ from 5° to 70°, by angle:
2θ (°)  intensity
13.55  26
28.62  34
31.46  89
31.66  50
32.38  100
34.58  24
35.24  24
48.51  26

---

# 2
Diffraction record for Nd4AlZn3. The X-ray powder pattern is simulated, not measured: it uses a PBE-relaxed structure and Cu Kα (weighted mean of Kα1 and Kα2).
Neutral-atom scattering factors, no anomalous dispersion.

Cell and atoms:
Cell lengths 3.684, 4.574, 12.155 Å; angles 90.00, 90.00, 90.00 degrees
Positions (direct):
1 Nd 0.000 0.000 0.000
2 Nd 0.000 0.500 0.303
3 Nd 0.500 0.000 0.495
4 Nd 0.500 0.500 0.807
5 Al 0.000 0.000 0.713
6 Zn 0.000 0.500 0.588
7 Zn 0.500 0.000 0.215
8 Zn 0.500 0.500 0.089

Principal peaks in the range 2θ from 5° to 70°, by angle:
2θ (°)  intensity
24.36  42
32.06  100
32.86  61
35.47  46
38.45  25
39.40  29
49.15  20
52.22  33

---

# 3
Diffraction record for In2Cu7AgSn2. The X-ray powder pattern is simulated, not measured: it uses a PBE-relaxed structure and Cu Kα (weighted mean of Kα1 and Kα2).
Neutral-atom scattering factors, no anomalous dispersion.

Cell and atoms:
Cell lengths 3.721, 3.721, 15.381 Å; angles 94.27, 94.27, 89.73 degrees
Positions (direct):
1 In 0.077 0.077 0.260
2 In 0.923 0.923 0.740
3 Cu 0.000 0.000 0.000
4 Cu 0.036 0.535 0.127
5 Cu 0.157 0.157 0.443
6 Cu 0.465 0.964 0.873
7 Cu 0.535 0.036 0.127
8 Cu 0.843 0.843 0.557
9 Cu 0.964 0.465 0.873
10 Ag 0.500 0.500 0.000
11 Sn 0.364 0.364 0.612
12 Sn 0.636 0.636 0.388

Principal peaks in the range 2θ from 5° to 70°, by angle:
2θ (°)  intensity
27.49  46
34.13  57
34.95  58
38.58  47
39.56  67
41.46  40
43.87  36
49.04  100

---

# 4
Diffraction record for TlAg2SnF8. The X-ray powder pattern is simulated, not measured: it uses a PBE-relaxed structure and Cu Kα (weighted mean of Kα1 and Kα2).
Neutral-atom scattering factors, no anomalous dispersion.

Cell and atoms:
Cell lengths 4.828, 5.669, 7.553 Å; angles 89.97, 89.99, 86.97 degrees
Positions (direct):
1 Tl 0.000 0.000 0.000
2 Ag 0.499 0.500 0.752
3 Ag 0.501 0.500 0.248
4 Sn 0.000 0.000 0.500
5 F 0.162 0.189 0.301
6 F 0.162 0.189 0.698
7 F 0.322 0.761 0.500
8 F 0.368 0.735 0.001
9 F 0.632 0.265 0.999
10 F 0.678 0.239 0.500
11 F 0.838 0.811 0.302
12 F 0.838 0.811 0.699

Principal peaks in the range 2θ from 5° to 70°, by angle:
2θ (°)  intensity
23.60  97
24.88  81
28.41  100
30.06  69
43.42  49
44.93  35
48.24  59
54.35  44

---

- Which formula does entry 4 have?
  TlAg2SnF8